Record 1
Starting from a PBE-relaxed structure, the PXRD pattern of Mn4Ir was calculated for Cu Kα (weighted mean of Kα1 and Kα2).
Peak positions follow from Bragg's law for the DFT cell and can differ from measured ones.

a b c (Å): 5.6973 5.6973 3.5844
angles (deg): 90.00 90.00 90.00
Space group I4/m (No. 87)
Symmetry-distinct sites (fractional):
Mn  0.0975  0.3069  0.0000 (multiplicity 8)
Ir  0.0000  0.0000  0.5000 (multiplicity 2)

Top 12 peaks for 2θ = 10–90°, most intense first:
2θ = 43.58°, 2.077 Å, I = 100
2θ = 50.67°, 1.802 Å, I = 33
2θ = 29.44°, 3.034 Å, I = 29
2θ = 22.06°, 4.029 Å, I = 24
2θ = 74.71°, 1.271 Å, I = 20
2θ = 50.95°, 1.792 Å, I = 14
2θ = 31.40°, 2.849 Å, I = 13
2θ = 74.48°, 1.274 Å, I = 9
2θ = 64.44°, 1.446 Å, I = 7
2θ = 73.44°, 1.289 Å, I = 5
2θ = 45.01°, 2.014 Å, I = 4
2θ = 54.70°, 1.678 Å, I = 4

Record 2
Starting from a PBE-relaxed structure, the PXRD pattern of Cs3SiP was calculated for Cu Kα (weighted mean of Kα1 and Kα2).
Peak positions follow from Bragg's law for the DFT cell and can differ from measured ones.

a b c (Å): 20.1402 8.3542 7.1007
angles (deg): 90.00 90.00 90.00
Space group Ima2 (No. 46)
Symmetry-distinct sites (fractional):
Cs  0.1102  0.1219  0.0000 (multiplicity 8)
Cs  0.2500  0.7390  0.4766 (multiplicity 4)
Si  0.2500  0.1261  0.6526 (multiplicity 4)
P  0.2500  0.1408  0.3247 (multiplicity 4)

Top 12 peaks for 2θ = 10–90°, most intense first:
2θ = 16.94°, 5.233 Å, I = 100
2θ = 28.12°, 3.173 Å, I = 79
2θ = 30.42°, 2.938 Å, I = 78
2θ = 25.10°, 3.549 Å, I = 63
2θ = 16.38°, 5.410 Å, I = 57
2θ = 24.15°, 3.686 Å, I = 53
2θ = 26.56°, 3.356 Å, I = 35
2θ = 32.46°, 2.758 Å, I = 29
2θ = 54.10°, 1.695 Å, I = 26
2θ = 35.37°, 2.538 Å, I = 23
2θ = 35.66°, 2.518 Å, I = 20
2θ = 41.45°, 2.178 Å, I = 19

Record 3
Starting from a PBE-relaxed structure, the PXRD pattern of YIn5Hg4 was calculated for Cu Kα (weighted mean of Kα1 and Kα2).
Peak positions follow from Bragg's law for the DFT cell and can differ from measured ones.

a b c (Å): 5.0587 6.9639 8.7919
angles (deg): 112.56 106.07 90.14
Space group P-1 (No. 2)
Symmetry-distinct sites (fractional):
Y  0.0000  0.0000  0.0000 (multiplicity 1)
In  0.0000  0.5000  0.0000 (multiplicity 1)
In  0.1854  0.4345  0.3613 (multiplicity 2)
In  0.3359  0.8573  0.6800 (multiplicity 2)
Hg  0.1762  0.8957  0.3416 (multiplicity 2)
Hg  0.4932  0.7195  0.9858 (multiplicity 2)

Top 12 peaks for 2θ = 10–90°, most intense first:
2θ = 35.53°, 2.526 Å, I = 100
2θ = 34.76°, 2.581 Å, I = 51
2θ = 36.12°, 2.487 Å, I = 48
2θ = 35.86°, 2.505 Å, I = 48
2θ = 35.71°, 2.514 Å, I = 47
2θ = 24.49°, 3.635 Å, I = 27
2θ = 24.78°, 3.593 Å, I = 20
2θ = 50.22°, 1.817 Å, I = 18
2θ = 50.83°, 1.796 Å, I = 18
2θ = 63.75°, 1.460 Å, I = 17
2θ = 25.59°, 3.482 Å, I = 17
2θ = 52.57°, 1.741 Å, I = 14

Record 4
Starting from a PBE-relaxed structure, the PXRD pattern of Dy5Ge2Se2 was calculated for Cu Kα (weighted mean of Kα1 and Kα2).
Peak positions follow from Bragg's law for the DFT cell and can differ from measured ones.

a b c (Å): 14.5756 7.6392 7.7265
angles (deg): 90.00 90.00 90.00
Space group Cmce (No. 64)
Symmetry-distinct sites (fractional):
Dy  0.0000  0.0000  0.0000 (multiplicity 4)
Dy  0.1341  0.1646  0.3390 (multiplicity 16)
Ge  0.0000  0.1377  0.6369 (multiplicity 8)
Se  0.1997  0.0000  0.0000 (multiplicity 8)

Top 12 peaks for 2θ = 10–90°, most intense first:
2θ = 31.83°, 2.812 Å, I = 100
2θ = 35.99°, 2.495 Å, I = 89
2θ = 37.70°, 2.386 Å, I = 64
2θ = 37.36°, 2.407 Å, I = 63
2θ = 26.02°, 3.424 Å, I = 42
2θ = 34.00°, 2.637 Å, I = 36
2θ = 32.98°, 2.716 Å, I = 35
2θ = 34.93°, 2.569 Å, I = 33
2θ = 33.82°, 2.651 Å, I = 33
2θ = 26.57°, 3.355 Å, I = 27
2θ = 40.53°, 2.226 Å, I = 24
2θ = 70.66°, 1.333 Å, I = 23